Simulated X-ray powder pattern
Compound: VGaNi2O6
Radiation: Cu Kα (weighted mean of Kα1 and Kα2)
Structure: a cell relaxed with PBE+U
Lines closer than 0.1° are merged.

Most intense lines, 10° ≤ 2θ ≤ 90°, by intensity:
two_theta  I_rel  index
31.1  100  1 1 1
18.7  40  0 0 1
35.1  35  2 0 0
45.8  30  1 1 2
50.5  29  2 2 0
60.5  27  3 1 1
70.0  16  2 0 3
52.7  15  2 0 2
70.5  15  3 1 2
74.2  8  4 0 0
54.3  8  2 2 1
86.4  5  1 1 4

Lattice parameters (Å, degrees): 5.114 5.114 4.739 90.00 90.00 90.00
Positions (direct):
V (0.000, 0.000, 0.000)
Ga (0.500, 0.500, 0.958)
Ni (0.000, 0.500, 0.330)
Ni (0.500, 0.000, 0.330)
O (0.000, 0.000, 0.653)
O (0.247, 0.247, 0.130)
O (0.247, 0.753, 0.130)
O (0.500, 0.500, 0.582)
O (0.753, 0.247, 0.130)
O (0.753, 0.753, 0.130)